# 1
Al3Pt5: computed PXRD pattern (Cu Kα (λ = 1.5418 Å)), based on a GGA-PBE-relaxed structure.
Kinematic intensities with the Lorentz-polarization factor, no thermal factor.

Crystal structure
Lattice parameters (Å, degrees): 5.4651 10.8826 3.9973 90.00 90.00 90.00
Space group Pbam (No. 55)
Inequivalent atoms, fractional coordinates:
Al  0.0000  0.0000  0.0000 [2 per cell]
Al  0.1821  0.3605  0.5000 [4 per cell]
Pt  0.0000  0.5000  0.0000 [2 per cell]
Pt  0.0719  0.7681  0.0000 [4 per cell]
Pt  0.2060  0.1077  0.5000 [4 per cell]

The 6 most intense peaks (10 to 80 degrees two-theta), sorted by position:
d = 2.775 Å, I 47, (1 2 1)
d = 2.256 Å, I 73, (2 0 1)
d = 2.249 Å, I 100, (0 4 1)
d = 2.209 Å, I 43, (2 1 1)
d = 1.999 Å, I 41, (0 0 2)
d = 1.928 Å, I 40, (2 4 0)

=====

# 2
NbV12Cr6: computed PXRD pattern (Cu Kα (λ = 1.5418 Å)), based on a GGA-PBE-relaxed structure.
Kinematic intensities with the Lorentz-polarization factor, no thermal factor.

Crystal structure
Lattice parameters (Å, degrees): 10.4761 10.4761 8.5823 90.00 90.00 120.00
Space group R-3m (No. 166, hexagonal axes)
Inequivalent atoms, fractional coordinates:
Nb  0.0000  0.0000  0.0000 [3 per cell]
V  0.0000  0.3847  0.5000 [18 per cell]
V  0.0875  0.1751  0.3107 [18 per cell]
Cr  0.0602  0.5301  0.2413 [18 per cell]

The 6 most intense peaks (10 to 80 degrees two-theta), sorted by position:
d = 2.511 Å, I 81, (1 1 3)
d = 2.415 Å, I 100, (1 3 1)
d = 2.078 Å, I 55, (0 3 3)
d = 2.023 Å, I 53, (3 2 1)
d = 1.940 Å, I 60, (0 2 4)
d = 1.671 Å, I 48, (5 0 2)

=====

# 3
ZrRe2Cl2: computed PXRD pattern (Cu Kα (λ = 1.5418 Å)), based on a GGA-PBE-relaxed structure.
Kinematic intensities with the Lorentz-polarization factor, no thermal factor.

Crystal structure
Lattice parameters (Å, degrees): 3.9902 3.9902 11.9355 90.00 90.00 90.00
Space group I4/mmm (No. 139)
Inequivalent atoms, fractional coordinates:
Zr  0.0000  0.0000  0.0000 [2 per cell]
Re  0.0000  0.0000  0.4044 [4 per cell]
Cl  0.0000  0.5000  0.2500 [4 per cell]

The 6 most intense peaks (10 to 80 degrees two-theta), sorted by position:
d = 3.784 Å, I 84, (1 0 1)
d = 2.820 Å, I 98, (1 1 0)
d = 2.551 Å, I 62, (1 1 2)
d = 2.049 Å, I 100, (1 0 5)
d = 1.995 Å, I 48, (2 0 0)
d = 1.429 Å, I 49, (2 1 5)